# 1
Th2MnCo5: calculated powder diffraction line list (Cu Kα (λ = 1.5418 Å)), based on a structure optimized by DFT (GGA-PBE).
No peak broadening, texture or thermal motion is included.

Main lines, most intense first (2θ = 10–90°):
| Position (°2θ) | d_spacing | intensity | index |
| --- | --- | --- | --- |
| 38.66 | 2.329 | 100.0 | 2 0 2 |
| 30.93 | 2.891 | 81.1 | 1 1 2 |
| 22.63 | 3.929 | 41.7 | 1 1 0 |
| 46.21 | 1.965 | 39.1 | 2 2 0 |
| 64.45 | 1.446 | 26.3 | 2 2 4 |
| 56.64 | 1.625 | 25.8 | 3 1 2 |
| 42.34 | 2.135 | 25.8 | 0 0 4 |
| 32.22 | 2.778 | 19.8 | 2 0 0 |
| 80.51 | 1.193 | 19.2 | 4 2 2 |
| 48.53 | 1.876 | 15.3 | 1 1 4 |

```
data_Th2MnCo5
_symmetry_space_group_name_H-M 'I 4 m m'
_symmetry_Int_Tables_number 107
_symmetry_space_group_name_Hall 'I 4 -2'
_cell_length_a 5.5566
_cell_length_b 5.5566
_cell_length_c 8.5397
_cell_angle_alpha 90.00
_cell_angle_beta 90.00
_cell_angle_gamma 90.00
loop_
_atom_site_label
_atom_site_type_symbol
_atom_site_fract_x
_atom_site_fract_y
_atom_site_fract_z
_atom_site_occupancy
Th1 Th 0.0000 0.5000 0.0000 1
Mn1 Mn 0.0000 0.0000 0.2733 1
Co1 Co 0.0000 0.0000 0.5361 1
Co2 Co 0.2183 0.2183 0.7496 1
```



# 2
Ti2Mn2Co3: calculated powder diffraction line list (Cu Kα (λ = 1.5418 Å)), based on a structure optimized by DFT (GGA-PBE).
No peak broadening, texture or thermal motion is included.

Main lines, most intense first (2θ = 10–90°):
| Position (°2θ) | d_spacing | intensity | index |
| --- | --- | --- | --- |
| 41.50 | 2.176 | 100.0 | 1 7 0 |
| 44.09 | 2.054 | 99.5 | 1 1 1 |
| 44.78 | 2.024 | 89.7 | 0 8 1 |
| 78.50 | 1.218 | 32.9 | 1 15 1 |
| 80.82 | 1.189 | 27.1 | 2 8 1 |
| 79.56 | 1.205 | 24.9 | 1 7 2 |
| 63.27 | 1.470 | 16.4 | 2 0 0 |
| 39.22 | 2.297 | 15.8 | 0 6 1 |
| 64.39 | 1.447 | 15.5 | 0 0 2 |
| 47.56 | 1.912 | 15.0 | 1 9 0 |

```
data_Ti2Mn2Co3
_symmetry_space_group_name_H-M 'C m m m'
_symmetry_Int_Tables_number 65
_symmetry_space_group_name_Hall '-C 2 2'
_cell_length_a 2.9396
_cell_length_b 22.6515
_cell_length_c 2.8940
_cell_angle_alpha 90.00
_cell_angle_beta 90.00
_cell_angle_gamma 90.00
loop_
_atom_site_label
_atom_site_type_symbol
_atom_site_fract_x
_atom_site_fract_y
_atom_site_fract_z
_atom_site_occupancy
Ti1 Ti 0.0000 0.0677 0.0000 1
Mn1 Mn 0.0000 0.1970 0.0000 1
Co1 Co 0.0000 0.3680 0.5000 1
Co2 Co 0.0000 0.5000 0.5000 1
```



# 3
TiMn3Co4: calculated powder diffraction line list (Cu Kα (λ = 1.5418 Å)), based on a structure optimized by DFT (GGA-PBE).
No peak broadening, texture or thermal motion is included.

Main lines, most intense first (2θ = 10–90°):
| Position (°2θ) | d_spacing | intensity | index |
| --- | --- | --- | --- |
| 44.36 | 2.042 | 100.0 | 2 2 0 |
| 81.66 | 1.179 | 28.5 | 4 2 2 |
| 64.53 | 1.444 | 14.7 | 4 0 0 |
| 30.96 | 2.888 | 0.7 | 2 0 0 |

```
data_TiMn3Co4
_symmetry_space_group_name_H-M 'I m -3 m'
_symmetry_Int_Tables_number 229
_symmetry_space_group_name_Hall '-I 4 2 3'
_cell_length_a 5.7763
_cell_length_b 5.7763
_cell_length_c 5.7763
_cell_angle_alpha 90.00
_cell_angle_beta 90.00
_cell_angle_gamma 90.00
loop_
_atom_site_label
_atom_site_type_symbol
_atom_site_fract_x
_atom_site_fract_y
_atom_site_fract_z
_atom_site_occupancy
Ti1 Ti 0.0000 0.0000 0.0000 1
Mn1 Mn 0.0000 0.0000 0.5000 1
Co1 Co 0.2500 0.2500 0.2500 1
```



# 4
TiMnCo3: calculated powder diffraction line list (Cu Kα (λ = 1.5418 Å)), based on a structure optimized by DFT (GGA-PBE).
No peak broadening, texture or thermal motion is included.

Main lines, most intense first (2θ = 10–90°):
| Position (°2θ) | d_spacing | intensity | index |
| --- | --- | --- | --- |
| 37.29 | 2.411 | 100.0 | 1 1 1 |
| 46.54 | 1.951 | 74.9 | 1 2 0 |
| 41.33 | 2.185 | 72.7 | 2 0 1 |
| 44.17 | 2.050 | 61.5 | 0 0 2 |
| 51.89 | 1.762 | 47.8 | 2 1 1 |
| 66.10 | 1.414 | 47.7 | 1 2 2 |
| 53.23 | 1.721 | 26.1 | 3 0 0 |
| 71.58 | 1.318 | 19.7 | 3 0 2 |
| 85.29 | 1.138 | 19.7 | 2 3 1 |
| 86.36 | 1.127 | 16.9 | 4 1 0 |

```
data_TiMnCo3
_symmetry_space_group_name_H-M 'P 63/m'
_symmetry_Int_Tables_number 176
_symmetry_space_group_name_Hall '-P 6c'
_cell_length_a 5.9616
_cell_length_b 5.9616
_cell_length_c 4.1010
_cell_angle_alpha 90.00
_cell_angle_beta 90.00
_cell_angle_gamma 120.00
loop_
_atom_site_label
_atom_site_type_symbol
_atom_site_fract_x
_atom_site_fract_y
_atom_site_fract_z
_atom_site_occupancy
Ti1 Ti 0.3333 0.6667 0.2500 1
Mn1 Mn 0.0000 0.0000 0.2500 1
Co1 Co 0.1010 0.4081 0.7500 1
```



# 5
Tm2Mn2Co15: calculated powder diffraction line list (Cu Kα (λ = 1.5418 Å)), based on a structure optimized by DFT (GGA-PBE).
No peak broadening, texture or thermal motion is included.

Main lines, most intense first (2θ = 10–90°):
| Position (°2θ) | d_spacing | intensity | index |
| --- | --- | --- | --- |
| 43.87 | 2.064 | 100.0 | 0 3 3 |
| 43.58 | 2.077 | 66.2 | 2 2 0 |
| 44.73 | 2.026 | 57.4 | 0 0 6 |
| 37.50 | 2.398 | 42.6 | 3 0 0 |
| 38.79 | 2.321 | 40.6 | 0 2 4 |
| 30.83 | 2.900 | 39.3 | 1 1 3 |
| 64.22 | 1.450 | 28.0 | 2 2 6 |
| 63.56 | 1.464 | 27.9 | 2 1 7 |
| 49.31 | 1.848 | 19.8 | 2 2 3 |
| 72.09 | 1.310 | 17.3 | 3 3 3 |

```
data_Tm2Mn2Co15
_symmetry_space_group_name_H-M 'R -3 m'
_symmetry_Int_Tables_number 166
_symmetry_space_group_name_Hall '-R 3 2"'
_cell_length_a 8.3071
_cell_length_b 8.3071
_cell_length_c 12.1564
_cell_angle_alpha 90.00
_cell_angle_beta 90.00
_cell_angle_gamma 120.00
loop_
_atom_site_label
_atom_site_type_symbol
_atom_site_fract_x
_atom_site_fract_y
_atom_site_fract_z
_atom_site_occupancy
Tm1 Tm 0.0000 0.0000 0.1519 1
Mn1 Mn 0.0000 0.0000 0.3951 1
Co1 Co 0.0000 0.2890 0.5000 1
Co2 Co 0.0000 0.5000 0.0000 1
Co3 Co 0.0038 0.5019 0.6509 1
```



# 6
UMnCo6: calculated powder diffraction line list (Cu Kα (λ = 1.5418 Å)), based on a structure optimized by DFT (GGA-PBE).
No peak broadening, texture or thermal motion is included.

Main lines, most intense first (2θ = 10–90°):
| Position (°2θ) | d_spacing | intensity | index |
| --- | --- | --- | --- |
| 42.82 | 2.112 | 100.0 | 2 4 0 |
| 49.81 | 1.831 | 31.4 | 0 4 4 |
| 88.61 | 1.104 | 22.6 | 2 8 4 |
| 24.33 | 3.658 | 19.2 | 2 0 0 |
| 73.23 | 1.293 | 18.8 | 4 4 4 |
| 34.68 | 2.586 | 15.9 | 0 4 0 |
| 49.98 | 1.825 | 15.7 | 4 0 0 |
| 88.87 | 1.101 | 11.4 | 6 4 0 |
| 73.10 | 1.295 | 9.4 | 0 8 0 |
| 14.85 | 5.967 | 9.0 | 1 1 0 |

```
data_UMnCo6
_symmetry_space_group_name_H-M 'C m m m'
_symmetry_Int_Tables_number 65
_symmetry_space_group_name_Hall '-C 2 2'
_cell_length_a 7.2998
_cell_length_b 10.3575
_cell_length_c 10.3561
_cell_angle_alpha 90.00
_cell_angle_beta 90.00
_cell_angle_gamma 90.00
loop_
_atom_site_label
_atom_site_type_symbol
_atom_site_fract_x
_atom_site_fract_y
_atom_site_fract_z
_atom_site_occupancy
U1 U 0.0000 0.0000 0.2402 1
U2 U 0.0000 0.2522 0.5000 1
Mn1 Mn 0.0000 0.2408 0.0000 1
Mn2 Mn 0.0000 0.5000 0.2501 1
Co1 Co 0.0000 0.0000 0.0000 1
Co2 Co 0.0000 0.0000 0.5000 1
Co3 Co 0.0000 0.2518 0.2435 1
Co4 Co 0.0000 0.5000 0.0000 1
Co5 Co 0.0000 0.5000 0.5000 1
Co6 Co 0.2392 0.3724 0.1202 1
Co7 Co 0.2471 0.3765 0.3710 1
```